1.
Diffraction record for Tb3CeRu4. The powder diffractogram is simulated, not measured: it uses a crystal structure in Alexandria, relaxed with PBE and a wavelength of 1.5418 Å.

Structural model:
a b c (Å): 6.8424 6.8424 6.8424
angles (deg): 90.00 90.00 90.00
Space group Im-3m (No. 229)
Unique sites:
Tb  0.0000  0.0000  0.5000 [6 per cell]
Ce  0.0000  0.0000  0.0000 [2 per cell]
Ru  0.2500  0.2500  0.2500 [8 per cell]

Largest 8 diffraction maxima, in order of rising 2θ, 10° ≤ 2θ ≤ 90°:
2θ (°)  I (rel.)
26.0  4.6
37.2  100.0
45.9  1.4
53.6  17.3
60.5  2.0
67.0  35.1
79.2  10.9
85.1  1.0

***

2.
Diffraction record for PuCd5Au3. The powder diffractogram is simulated, not measured: it uses a crystal structure in Alexandria, relaxed with PBE and a wavelength of 1.5418 Å.

Structural model:
a b c (Å): 3.1716 15.5316 16.0419
angles (deg): 90.00 90.00 90.00
Space group Cmcm (No. 63)
Unique sites:
Pu  0.0000  0.1655  0.2500 [4 per cell]
Cd  0.0000  0.0000  0.0000 [4 per cell]
Cd  0.0000  0.1860  0.5732 [8 per cell]
Cd  0.0000  0.4731  0.1609 [8 per cell]
Au  0.0000  0.1615  0.7500 [4 per cell]
Au  0.0000  0.3639  0.5807 [8 per cell]

Largest 10 diffraction maxima, in order of rising 2θ, 10° ≤ 2θ ≤ 90°:
2θ (°)  I (rel.)
33.3  70.8
33.5  29.9
34.7  55.4
35.0  100.0
35.5  55.8
36.6  62.5
38.6  26.2
41.0  79.6
44.2  27.9
58.2  26.4

***

3.
Diffraction record for Li2Mg4In2Hg. The powder diffractogram is simulated, not measured: it uses a crystal structure in Alexandria, relaxed with PBE and a wavelength of 1.5418 Å.

Structural model:
a b c (Å): 5.2755 5.3177 7.3210
angles (deg): 72.82 78.39 86.84
Space group P-1 (No. 2)
Unique sites:
Li  0.2182  0.4596  0.1048 [2 per cell]
Mg  0.1178  0.2186  0.5545 [2 per cell]
Mg  0.4399  0.9028  0.2189 [2 per cell]
In  0.3258  0.6515  0.6764 [2 per cell]
Hg  0.0000  0.0000  0.0000 [1 per cell]

Largest 10 diffraction maxima, in order of rising 2θ, 10° ≤ 2θ ≤ 90°:
2θ (°)  I (rel.)
19.4  88.6
24.6  100.0
26.8  41.2
26.9  40.8
33.9  47.3
34.1  46.5
37.3  72.6
38.7  33.1
39.0  32.2
39.4  30.1

***

4.
Diffraction record for KBiPCO7. The powder diffractogram is simulated, not measured: it uses a crystal structure in Alexandria, relaxed with PBE and a wavelength of 1.5418 Å.

Structural model:
a b c (Å): 4.9777 7.0993 10.5918
angles (deg): 90.00 96.37 90.00
Space group P2_1 (No. 4)
Unique sites:
K  0.0689  0.0000  0.1756 [2 per cell]
Bi  0.2674  0.9580  0.6405 [2 per cell]
P  0.3075  0.4580  0.5667 [2 per cell]
C  0.4661  0.8606  0.9413 [2 per cell]
O  0.1723  0.4557  0.4246 [2 per cell]
O  0.2112  0.8646  0.9043 [2 per cell]
O  0.2274  0.2859  0.6421 [2 per cell]
O  0.2289  0.6356  0.6376 [2 per cell]
O  0.3718  0.3319  0.1432 [2 per cell]
O  0.3804  0.9576  0.4450 [2 per cell]
O  0.4444  0.3859  0.9426 [2 per cell]

Largest 10 diffraction maxima, in order of rising 2θ, 10° ≤ 2θ ≤ 90°:
2θ (°)  I (rel.)
15.1  87.4
19.0  51.3
20.7  55.3
21.0  95.7
21.9  83.0
23.3  44.8
25.1  100.0
26.1  78.3
26.5  54.4
36.4  60.3